No. 1
The following is a calculated powder diffraction line list of CsGeTeP2O. It was derived from a cell relaxed with GGA-PBE, using Cu Kα (weighted mean of Kα1 and Kα2).

Main lines, low angle first (2θ from 10° to 80°):
two_theta, I/Imax
21.11, 100.0
21.77, 55.7
23.51, 53.9
30.89, 53.0
33.21, 40.4
34.35, 46.4

Structure:
```
CsGeTeP2O
1.0
5.5507 0.0000 0.0000
1.9465 5.3948 0.0000
0.2078 -0.0537 6.8157
Cs Ge Te P O
1 1 1 2 1
direct
0.0000 0.0000 0.0000
0.5328 0.4491 0.6307
0.4437 0.0248 0.4956
0.0892 0.4735 0.6043
0.8063 0.5664 0.3859
0.8649 0.5446 0.1649
```

No. 2
The following is a calculated powder diffraction line list of Ca3VN4. It was derived from a cell relaxed with GGA-PBE, using Cu Kα (weighted mean of Kα1 and Kα2).

Main lines, low angle first (2θ from 10° to 80°):
two_theta, I/Imax
19.75, 24.7
30.50, 100.0
31.18, 24.8
31.83, 40.4
35.11, 46.1
41.66, 23.7

Structure:
```
Ca3VN4
1.0
7.0012 0.0000 0.0000
0.0000 7.4806 0.0000
0.0000 0.0000 9.4335
Ca V N
12 4 16
direct
0.0036 0.0256 0.1882
0.0036 0.4744 0.1882
0.1367 0.7500 0.5229
0.3633 0.2500 0.0229
0.4964 0.5256 0.6882
0.4964 0.9744 0.6882
0.5036 0.0256 0.3118
0.5036 0.4744 0.3118
0.6367 0.7500 0.9771
0.8633 0.2500 0.4771
0.9964 0.5256 0.8118
0.9964 0.9744 0.8118
0.2319 0.7500 0.0161
0.2681 0.2500 0.5161
0.7319 0.7500 0.4839
0.7681 0.2500 0.9839
0.0270 0.2500 0.9714
0.1715 0.0582 0.6057
0.1715 0.4418 0.6057
0.1984 0.2500 0.3275
0.3016 0.7500 0.8275
0.3285 0.5582 0.1057
0.3285 0.9418 0.1057
0.4730 0.7500 0.4714
0.5270 0.2500 0.5286
0.6715 0.0582 0.8943
0.6715 0.4418 0.8943
0.6984 0.2500 0.1725
0.8016 0.7500 0.6725
0.8285 0.5582 0.3943
0.8285 0.9418 0.3943
0.9730 0.7500 0.0286
```

No. 3
The following is a calculated powder diffraction line list of CaNb2Ga2Cu3O12. It was derived from a cell relaxed with GGA-PBE, using Cu Kα (weighted mean of Kα1 and Kα2).

Main lines, low angle first (2θ from 10° to 80°):
two_theta, I/Imax
33.40, 100.0
33.49, 66.3
33.61, 33.0
48.00, 34.3
59.73, 32.1
59.92, 31.9

Structure:
```
CaNb2Ga2Cu3O12
1.0
5.3329 -3.7890 0.0000
5.3329 3.7890 0.0000
-5.3129 0.0000 5.3738
Ca Nb Ga Cu O
1 2 2 3 12
direct
0.0000 0.0000 0.0000
0.0000 0.5000 0.5000
0.5000 0.0000 0.5000
0.0000 0.5000 0.0000
0.5000 0.0000 0.0000
0.0000 0.0000 0.5000
0.5000 0.5000 0.0000
0.5000 0.5000 0.5000
0.1300 0.4795 0.3054
0.1734 0.1734 0.8683
0.1739 0.1739 0.4781
0.3017 0.6925 0.8219
0.3075 0.6983 0.1781
0.4795 0.1300 0.3054
0.5205 0.8700 0.6946
0.6925 0.3017 0.8219
0.6983 0.3075 0.1781
0.8261 0.8261 0.5219
0.8266 0.8266 0.1317
0.8700 0.5205 0.6946
```

No. 4
The following is a calculated powder diffraction line list of CaAlTe2O8. It was derived from a cell relaxed with GGA-PBE, using Cu Kα (weighted mean of Kα1 and Kα2).

Main lines, low angle first (2θ from 10° to 80°):
two_theta, I/Imax
18.65, 98.7
25.27, 84.8
27.66, 63.5
33.40, 100.0
49.95, 54.4
52.67, 41.8

Structure:
```
CaAlTe2O8
1.0
3.2255 -3.5241 0.0000
3.2255 3.5241 0.0000
0.0000 0.0000 6.4971
Ca Al Te O
1 1 2 8
direct
0.0000 0.0000 0.0000
0.0000 0.0000 0.5000
0.5000 0.5000 0.2597
0.5000 0.5000 0.7403
0.1977 0.1977 0.2846
0.1977 0.1977 0.7154
0.3060 0.6940 0.5000
0.3280 0.6720 0.0000
0.6720 0.3280 0.0000
0.6940 0.3060 0.5000
0.8023 0.8023 0.2846
0.8023 0.8023 0.7154
```